# HfTl8Mo6O24
Computed X-ray powder pattern, Cu Kα X-rays. Input: DFT lattice parameters and positions (PBE+U).

Top 10 peaks for 2θ = 10–90°, most intense first:
two_theta, Rel. int.
26.3, 100
27.8, 46
26.5, 46
26.8, 44
31.1, 27
45.4, 24
35.4, 20
49.3, 17
54.1, 17
48.3, 17

Structure:
Cell: 10.8845 10.8845 8.0052 Å, 98.59 98.59 124.20°
Atoms (fractional coordinates):
Hf1 0.0000 0.0000 0.0000
Tl1 0.1364 0.4841 0.8969
Tl2 0.2149 0.2149 0.6411
Tl3 0.3336 0.6664 0.5000
Tl4 0.4841 0.1364 0.8969
Tl5 0.5159 0.8636 0.1031
Tl6 0.6664 0.3336 0.5000
Tl7 0.7851 0.7851 0.3589
Tl8 0.8636 0.5159 0.1031
Mo1 0.0557 0.7402 0.7083
Mo2 0.2598 0.9443 0.2917
Mo3 0.3875 0.3875 0.2133
Mo4 0.6125 0.6125 0.7867
Mo5 0.7402 0.0557 0.7083
Mo6 0.9443 0.2598 0.2917
O1 0.0227 0.3230 0.5256
O2 0.0594 0.9089 0.8077
O3 0.0648 0.4154 0.2074
O4 0.0911 0.9406 0.1923
O5 0.2149 0.2149 0.0359
O6 0.2169 0.7571 0.2292
O7 0.2429 0.7831 0.7708
O8 0.3230 0.0227 0.5256
O9 0.3495 0.3495 0.4149
O10 0.4132 0.5625 0.2004
O11 0.4154 0.0648 0.2074
O12 0.4375 0.5868 0.7996
O13 0.5625 0.4132 0.2004
O14 0.5846 0.9352 0.7926
O15 0.5868 0.4375 0.7996
O16 0.6505 0.6505 0.5851
O17 0.6770 0.9773 0.4744
O18 0.7571 0.2169 0.2292
O19 0.7831 0.2429 0.7708
O20 0.7851 0.7851 0.9641
O21 0.9089 0.0594 0.8077
O22 0.9352 0.5846 0.7926
O23 0.9406 0.0911 0.1923
O24 0.9773 0.6770 0.4744